The following is a simulated XRD peak list of Ce4Tc2Sn. It was derived from a GGA-PBE-relaxed structure, using Cu Kα, 1.54184 Å.
Peak positions follow from Bragg's law for the DFT cell and can differ from measured ones.

Cell: 4.5473 11.7108 13.5010 Å, 90.00 90.00 90.00°
Space group Cmcm (No. 63)
Asymmetric unit:
Ce1 0.0000 0.0000 0.0000
Ce2 0.0000 0.2819 0.1089
Ce3 0.0000 0.4042 0.7500
Tc1 0.0000 0.3968 0.5601
Sn1 0.0000 0.1039 0.7500

Most intense lines, 2θ from 10° to 90°, low angle first:
2θ (°), intensity, index
28.94, 45, 1 1 3
30.17, 32, 1 3 0
30.57, 51, 0 2 4
30.91, 100, 1 3 1
39.61, 74, 2 0 0
50.87, 25, 2 2 4